For KMoRuO6, the PBE+U geometry in Alexandria gives the computed powder diffractogram in this record (λ = 1.5418 Å (Cu Kα)).
Lines closer than 0.1° are merged.

Atomic structure:
Cell: 5.280 5.280 5.979 Å, 90.00 90.00 120.00°
Element x y z (fractional)
K (0.000, 0.000, 0.000)
Mo (0.333, 0.667, 0.480)
Ru (0.667, 0.333, 0.533)
O (0.002, 0.622, 0.330)
O (0.006, 0.397, 0.695)
O (0.378, 0.380, 0.330)
O (0.391, 0.994, 0.695)
O (0.603, 0.609, 0.695)
O (0.620, 0.998, 0.330)

The 10 most intense peaks (2θ = 15–90°), most intense first:
(0 1 1), 24.51 deg, I = 100; (2 -1 2), 45.85 deg, I = 54; (1 1 0), 33.95 deg, I = 36; (2 -1 1), 37.23 deg, I = 35; (1 0 0), 19.41 deg, I = 23; (3 -2 1), 55.33 deg, I = 18; (2 0 1), 42.32 deg, I = 16; (3 0 0), 60.76 deg, I = 14; (1 1 3), 57.98 deg, I = 12; (0 1 3), 49.92 deg, I = 12